Diffraction record for Li4Ti3Mn2V3O16. The powder diffraction line list is calculated, not measured: it uses the GGA+U geometry in Alexandria and CuKα.

Largest 10 diffraction maxima, by angle, 15 to 90 degrees two-theta:
two_theta  intensity
17.79  94.3
19.37  100.0
24.81  26.4
32.00  36.9
35.07  57.5
35.21  30.8
35.98  48.8
39.30  39.3
44.42  44.7
62.36  32.8

Structural model:
Cell: 5.946 5.952 9.969 Å, 89.79 89.66 60.12°
Positions (direct):
Li 0.000 0.000 0.000
Li 0.005 0.984 0.499
Li 0.337 0.330 0.100
Li 0.674 0.665 0.601
Ti 0.199 0.141 0.776
Ti 0.661 0.203 0.776
Ti 0.802 0.329 0.289
Mn 0.322 0.332 0.500
Mn 0.659 0.659 0.001
V 0.138 0.664 0.788
V 0.336 0.846 0.281
V 0.853 0.802 0.276
O 0.034 0.474 0.669
O 0.145 0.158 0.389
O 0.169 0.684 0.384
O 0.308 0.840 0.889
O 0.337 0.322 0.888
O 0.477 0.491 0.671
O 0.491 0.024 0.669
O 0.505 0.965 0.171
O 0.523 0.505 0.168
O 0.670 0.659 0.390
O 0.687 0.140 0.390
O 0.840 0.308 0.890
O 0.854 0.827 0.893
O 0.969 0.527 0.168
O 0.995 0.997 0.682
O 0.998 0.001 0.183